[1]
Diffraction record for MgTe4Mo3WSe2S2. The powder diffraction line list is theoretical, not measured: it uses a structure optimized by DFT (PBE) and Cu Kα, 1.54184 Å.
Lines closer than 0.1° are merged.

Most intense lines, 2θ from 15° to 90°, low angle first:
2θ 30.4, I = 45; 2θ 32.6, I = 16; 2θ 33.5, I = 14; 2θ 35.8, I = 100; 2θ 38.5, I = 30; 2θ 43.3, I = 54; 2θ 45.0, I = 16; 2θ 54.1, I = 33; 2θ 66.5, I = 16; 2θ 76.3, I = 15

Structural model:
Cell: 3.3902 3.3915 38.7293 Å, 90.00 90.00 60.01°
Positions (direct):
Mg1 0.0000 0.0000 0.0000
Te1 0.0690 0.8947 0.1701
Te2 0.0690 0.8947 0.2669
Te3 0.7357 0.5614 0.7334
Te4 0.7357 0.5614 0.8308
Mo1 0.0690 0.8947 0.4064
Mo2 0.7357 0.5613 0.2185
Mo3 0.7357 0.5613 0.5942
W1 0.0691 0.8947 0.7822
Se1 0.7357 0.5614 0.3638
Se2 0.7357 0.5614 0.4490
S1 0.0690 0.8947 0.5554
S2 0.0690 0.8947 0.6331

=====

[2]
Diffraction record for MgTe4Mo3WSe2S2. The powder diffraction line list is theoretical, not measured: it uses a structure optimized by DFT (PBE) and Cu Kα, 1.54184 Å.
Lines closer than 0.1° are merged.

Most intense lines, 2θ from 15° to 90°, low angle first:
2θ 30.4, I = 57; 2θ 35.8, I = 100; 2θ 37.1, I = 16; 2θ 38.5, I = 16; 2θ 40.0, I = 16; 2θ 43.3, I = 55; 2θ 45.0, I = 18; 2θ 54.1, I = 37; 2θ 66.5, I = 16; 2θ 76.3, I = 16

Structural model:
Cell: 3.3919 3.3919 38.7158 Å, 90.00 90.00 60.00°
Positions (direct):
Mg1 0.0000 0.0000 0.0000
Te1 0.0057 0.0057 0.3534
Te2 0.0057 0.0057 0.4508
Te3 0.0057 0.0057 0.7293
Te4 0.0057 0.0057 0.8262
Mo1 0.0057 0.0057 0.2141
Mo2 0.0057 0.0057 0.5899
Mo3 0.6724 0.6724 0.7778
W1 0.6724 0.6724 0.4021
Se1 0.6724 0.6724 0.1716
Se2 0.6724 0.6724 0.2568
S1 0.6724 0.6724 0.5511
S2 0.6724 0.6724 0.6287

=====

[3]
Diffraction record for MgTe2Mo3WSe4S2. The powder diffraction line list is theoretical, not measured: it uses a structure optimized by DFT (PBE) and Cu Kα, 1.54184 Å.
Lines closer than 0.1° are merged.

Most intense lines, 2θ from 15° to 90°, low angle first:
2θ 31.0, I = 64; 2θ 32.5, I = 35; 2θ 34.8, I = 77; 2θ 37.9, I = 47; 2θ 40.3, I = 100; 2θ 41.7, I = 33; 2θ 47.6, I = 20; 2θ 55.0, I = 45; 2θ 56.0, I = 26; 2θ 70.4, I = 19

Structural model:
Cell: 3.3382 3.3382 45.8560 Å, 90.00 90.00 120.00°
Positions (direct):
Mg1 0.0000 0.0000 0.0000
Te1 0.3333 0.6667 0.4318
Te2 0.3333 0.6667 0.5147
Mo1 0.3333 0.6667 0.2852
Mo2 0.3333 0.6667 0.9024
Mo3 0.6667 0.3333 0.4733
W1 0.6667 0.3333 0.1057
Se1 0.3333 0.6667 0.0689
Se2 0.3333 0.6667 0.1423
Se3 0.6667 0.3333 0.8661
Se4 0.6667 0.3333 0.9393
S1 0.6667 0.3333 0.2521
S2 0.6667 0.3333 0.3183

=====

[4]
Diffraction record for MgTe4Mo3WSe2S2. The powder diffraction line list is theoretical, not measured: it uses a structure optimized by DFT (PBE) and Cu Kα, 1.54184 Å.
Lines closer than 0.1° are merged.

Most intense lines, 2θ from 15° to 90°, low angle first:
2θ 30.2, I = 70; 2θ 32.1, I = 22; 2θ 34.7, I = 100; 2θ 37.0, I = 52; 2θ 41.1, I = 83; 2θ 41.2, I = 19; 2θ 42.7, I = 21; 2θ 53.7, I = 44; 2θ 54.9, I = 22; 2θ 69.8, I = 18

Structural model:
Cell: 3.4130 3.4130 42.5185 Å, 90.12 90.12 60.01°
Positions (direct):
Mg1 0.0000 0.0000 0.0000
Te1 0.0019 0.0019 0.2282
Te2 0.0031 0.0031 0.3161
Te3 0.6683 0.6683 0.6644
Te4 0.6697 0.6697 0.7527
Mo1 0.0012 0.0012 0.0897
Mo2 0.6690 0.6690 0.2721
Mo3 0.6696 0.6696 0.8927
W1 0.0026 0.0026 0.7086
Se1 0.0026 0.0026 0.8542
Se2 0.0039 0.0039 0.9315
S1 0.6676 0.6676 0.0543
S2 0.6691 0.6691 0.1246

=====

[5]
Diffraction record for MgTe2MoW2Se2S2. The powder diffraction line list is theoretical, not measured: it uses a structure optimized by DFT (PBE) and Cu Kα, 1.54184 Å.
Lines closer than 0.1° are merged.

Most intense lines, 2θ from 15° to 90°, low angle first:
2θ 30.9, I = 55; 2θ 31.2, I = 36; 2θ 32.3, I = 50; 2θ 34.0, I = 64; 2θ 35.1, I = 52; 2θ 37.7, I = 45; 2θ 39.1, I = 64; 2θ 40.7, I = 100; 2θ 44.1, I = 37; 2θ 54.9, I = 49

Structural model:
Cell: 3.3471 3.3471 37.8425 Å, 90.00 90.00 120.00°
Positions (direct):
Mg1 0.0000 0.0000 0.0000
Te1 0.6667 0.3333 0.0861
Te2 0.6667 0.3333 0.1871
Mo1 0.6667 0.3333 0.8908
W1 0.3333 0.6667 0.1368
W2 0.3333 0.6667 0.6671
Se1 0.6667 0.3333 0.6229
Se2 0.6667 0.3333 0.7113
S1 0.3333 0.6667 0.8510
S2 0.3333 0.6667 0.9316

=====

[6]
Diffraction record for MgTe2MoW2Se2S2. The powder diffraction line list is theoretical, not measured: it uses a structure optimized by DFT (PBE) and Cu Kα, 1.54184 Å.
Lines closer than 0.1° are merged.

Most intense lines, 2θ from 15° to 90°, low angle first:
2θ 30.7, I = 50; 2θ 30.8, I = 25; 2θ 32.3, I = 30; 2θ 34.3, I = 64; 2θ 35.4, I = 70; 2θ 36.8, I = 22; 2θ 39.8, I = 61; 2θ 41.5, I = 100; 2θ 54.6, I = 56; 2θ 55.6, I = 24

Structural model:
Cell: 3.3607 3.3607 35.9542 Å, 90.10 90.10 60.00°
Positions (direct):
Mg1 0.0000 0.0000 0.0000
Te1 0.6697 0.6697 0.5876
Te2 0.6713 0.6713 0.6933
Mo1 0.0026 0.0026 0.1096
W1 0.0037 0.0037 0.6405
W2 0.6701 0.6701 0.8673
Se1 0.0027 0.0027 0.8209
Se2 0.0043 0.0043 0.9139
S1 0.6694 0.6694 0.0670
S2 0.6693 0.6693 0.1513

=====

[7]
Diffraction record for MgTe4Mo3WSe2S2. The powder diffraction line list is theoretical, not measured: it uses a structure optimized by DFT (PBE) and Cu Kα, 1.54184 Å.
Lines closer than 0.1° are merged.

Most intense lines, 2θ from 15° to 90°, low angle first:
2θ 30.2, I = 100; 2θ 34.6, I = 47; 2θ 34.8, I = 60; 2θ 35.0, I = 27; 2θ 36.9, I = 28; 2θ 37.2, I = 29; 2θ 41.0, I = 60; 2θ 41.4, I = 47; 2θ 41.6, I = 28; 2θ 53.6, I = 69

Structural model:
Cell: 3.4200 3.4200 42.3458 Å, 90.87 90.87 60.01°
Positions (direct):
Mg1 0.0000 0.0000 0.0000
Te1 0.3208 0.3208 0.2475
Te2 0.3319 0.3319 0.3355
Te3 0.9865 0.9865 0.6835
Te4 0.9976 0.9976 0.7721
Mo1 0.0007 0.0007 0.9108
Mo2 0.3246 0.3246 0.1074
Mo3 0.9929 0.9929 0.2915
W1 0.3255 0.3255 0.7278
Se1 0.9862 0.9862 0.0685
Se2 0.9960 0.9960 0.1461
S1 0.3292 0.3292 0.8759
S2 0.3392 0.3392 0.9463

=====

[8]
Diffraction record for MgTe4Mo3WSe2S2. The powder diffraction line list is theoretical, not measured: it uses a structure optimized by DFT (PBE) and Cu Kα, 1.54184 Å.
Lines closer than 0.1° are merged.

Most intense lines, 2θ from 15° to 90°, low angle first:
2θ 30.4, I = 56; 2θ 32.0, I = 26; 2θ 34.3, I = 74; 2θ 36.4, I = 22; 2θ 37.6, I = 22; 2θ 40.1, I = 100; 2θ 41.5, I = 25; 2θ 53.9, I = 41; 2θ 54.9, I = 20; 2θ 69.3, I = 19

Structural model:
Cell: 3.4010 3.4010 45.1424 Å, 90.00 90.00 120.00°
Positions (direct):
Mg1 0.0000 0.0000 0.0000
Te1 0.3333 0.6667 0.0678
Te2 0.3333 0.6667 0.1509
Te3 0.3333 0.6667 0.6863
Te4 0.3333 0.6667 0.7697
Mo1 0.3333 0.6667 0.5400
Mo2 0.3333 0.6667 0.9090
Mo3 0.6667 0.3333 0.1095
W1 0.6667 0.3333 0.7280
Se1 0.6667 0.3333 0.5036
Se2 0.6667 0.3333 0.5765
S1 0.6667 0.3333 0.8760
S2 0.6667 0.3333 0.9425